No. 1
Starting from a cell relaxed with PBE, the powder diffraction line list of BaP10 was computed for Cu Kα X-rays.

```
BaP10
1.0
3.2471 -6.4854 0.0000
3.2471 6.4854 0.0000
0.0000 0.0000 12.1473
Ba P
2 20
direct
0.1882 0.8118 0.5000
0.8118 0.1882 0.0000
0.0648 0.9352 0.9503
0.0909 0.9091 0.2277
0.1332 0.3785 0.3438
0.1863 0.8137 0.0778
0.2266 0.2719 0.1916
0.2719 0.2266 0.6916
0.3785 0.1332 0.8438
0.3867 0.6133 0.8998
0.4081 0.5919 0.7225
0.4517 0.5483 0.4435
0.5483 0.4517 0.9435
0.5919 0.4081 0.2225
0.6133 0.3867 0.3998
0.6215 0.8668 0.3438
0.7281 0.7734 0.1916
0.7734 0.7281 0.6916
0.8137 0.1863 0.5778
0.8668 0.6215 0.8438
0.9091 0.0909 0.7277
0.9352 0.0648 0.4503
```

Peak list (6 most intense, 2θ = 5–70°, sorted by position)
16.92 deg, intensity 84; 20.03 deg, intensity 100; 28.84 deg, intensity 86; 31.24 deg, intensity 99; 31.69 deg, intensity 83; 40.25 deg, intensity 75

No. 2
Starting from a cell relaxed with PBE, the powder diffraction line list of La2PrDy was computed for Cu Kα X-rays.

```
La2PrDy
1.0
4.2829 0.0000 0.0000
0.0000 4.2829 0.0000
0.0000 0.0000 7.7464
La Pr Dy
2 1 1
direct
0.0000 0.0000 0.2363
0.0000 0.0000 0.7637
0.5000 0.5000 0.5000
0.5000 0.5000 0.0000
```

Peak list (6 most intense, 2θ = 5–70°, sorted by position)
29.50 deg, intensity 58; 31.13 deg, intensity 100; 42.20 deg, intensity 22; 53.36 deg, intensity 44; 56.40 deg, intensity 18; 64.92 deg, intensity 12

No. 3
Starting from a cell relaxed with PBE, the powder diffraction line list of Sc5Sb2 was computed for Cu Kα X-rays.

```
Sc5Sb2
1.0
7.3680 -2.8994 0.0000
7.3680 2.8994 0.0000
-0.7669 0.0000 7.8440
Sc Sb
10 4
direct
0.1323 0.3185 0.3136
0.1796 0.8204 0.7500
0.2481 0.5445 0.0638
0.3185 0.1323 0.8136
0.4555 0.7519 0.4362
0.5445 0.2481 0.5638
0.6815 0.8677 0.1864
0.7519 0.4555 0.9362
0.8204 0.1796 0.2500
0.8677 0.6815 0.6864
0.0796 0.7211 0.4172
0.2789 0.9204 0.0828
0.7211 0.0796 0.9172
0.9204 0.2789 0.5828
```

Peak list (6 most intense, 2θ = 5–70°, sorted by position)
20.32 deg, intensity 74; 25.63 deg, intensity 50; 35.14 deg, intensity 100; 35.59 deg, intensity 69; 37.69 deg, intensity 73; 40.63 deg, intensity 39

No. 4
Starting from a cell relaxed with PBE, the powder diffraction line list of Ac2Pr3Sm2 was computed for Cu Kα X-rays.

```
Ac2Pr3Sm2
1.0
5.9366 0.0000 0.0000
0.0000 3.6337 0.0000
-2.9592 0.0000 12.3131
Ac Pr Sm
2 3 2
direct
0.0781 0.0000 0.1560
0.9219 0.0000 0.8440
0.2203 0.0000 0.4410
0.5000 0.0000 0.0000
0.7797 0.0000 0.5590
0.3537 0.5000 0.7079
0.6463 0.5000 0.2921
```

Peak list (6 most intense, 2θ = 5–70°, sorted by position)
29.04 deg, intensity 37; 29.51 deg, intensity 100; 30.11 deg, intensity 50; 30.84 deg, intensity 38; 32.92 deg, intensity 23; 59.32 deg, intensity 35

No. 5
Starting from a cell relaxed with PBE, the powder diffraction line list of Pm4Tm2Sc was computed for Cu Kα X-rays.

```
Pm4Tm2Sc
1.0
2.6520 -5.5049 0.0000
2.6520 5.5049 0.0000
0.0000 0.0000 15.4804
Pm Tm Sc
8 4 2
direct
0.0844 0.9156 0.8088
0.1975 0.8025 0.5698
0.3025 0.6975 0.0698
0.4156 0.5844 0.3088
0.5844 0.4156 0.6912
0.6975 0.3025 0.9302
0.8025 0.1975 0.4302
0.9156 0.0844 0.1912
0.1152 0.8848 0.3455
0.3848 0.6152 0.8455
0.6152 0.3848 0.1545
0.8848 0.1152 0.6545
0.0000 0.0000 0.0000
0.5000 0.5000 0.5000
```

Peak list (6 most intense, 2θ = 5–70°, sorted by position)
29.71 deg, intensity 100; 30.17 deg, intensity 41; 31.83 deg, intensity 86; 33.80 deg, intensity 51; 34.51 deg, intensity 21; 62.00 deg, intensity 23

No. 6
Starting from a cell relaxed with PBE, the powder diffraction line list of Ac2Ce4Sb3N2 was computed for Cu Kα X-rays.

```
Ac2Ce4Sb3N2
1.0
-2.3941 2.3941 13.4605
2.3941 -2.3941 13.4605
2.3941 2.3941 -13.4605
Ac Ce Sb N
2 4 3 2
direct
0.1954 0.1954 0.0000
0.8046 0.8046 0.0000
0.0817 0.5817 0.5000
0.4183 0.9183 0.5000
0.5817 0.0817 0.5000
0.9183 0.4183 0.5000
0.3279 0.3279 0.0000
0.5000 0.5000 0.0000
0.6721 0.6721 0.0000
0.0982 0.0982 0.0000
0.9018 0.9018 0.0000
```

Peak list (6 most intense, 2θ = 5–70°, sorted by position)
26.49 deg, intensity 22; 27.16 deg, intensity 56; 29.80 deg, intensity 27; 33.15 deg, intensity 100; 37.57 deg, intensity 57; 65.02 deg, intensity 35